1.
Pm6Hg6Ge: computed powder diffraction line list (a wavelength of 1.5418 Å), based on DFT lattice parameters and positions (GGA-PBE).

Structural model:
```
data_Pm6Hg6Ge
_chemical_formula_sum 'Pm6 Hg6 Ge1'
_space_group_name_H-M_alt 'P 1'
_space_group_IT_number 1
_cell_length_a 6.425
_cell_length_b 6.425
_cell_length_c 10.531
_cell_angle_alpha 90.00
_cell_angle_beta 90.00
_cell_angle_gamma 120.00
loop_
_space_group_symop_operation_xyz
'x,y,z'
loop_
_atom_site_label
_atom_site_type_symbol
_atom_site_fract_x
_atom_site_fract_y
_atom_site_fract_z
Pm1 Pm 0.000 0.000 0.216
Pm2 Pm 0.000 0.000 0.784
Pm3 Pm 0.333 0.667 0.000
Pm4 Pm 0.333 0.667 0.500
Pm5 Pm 0.667 0.333 0.000
Pm6 Pm 0.667 0.333 0.500
Hg1 Hg 0.000 0.500 0.248
Hg2 Hg 0.000 0.500 0.752
Hg3 Hg 0.500 0.000 0.248
Hg4 Hg 0.500 0.000 0.752
Hg5 Hg 0.500 0.500 0.248
Hg6 Hg 0.500 0.500 0.752
Ge1 Ge 0.000 0.000 0.500
```

Largest 12 diffraction maxima, sorted by position, 2θ = 10–90°:
(1 0 0), 15.93°, I 134
(0 0 2), 16.84°, I 241
(1 1 0), 27.77°, I 113
(2 0 0), 32.17°, I 401
(1 1 2), 32.65°, I 300
(0 0 4), 34.05°, I 298
(2 0 2), 36.53°, I 1000
(2 0 4), 47.55°, I 233
(2 2 0), 57.36°, I 224
(2 0 6), 62.57°, I 168
(2 2 4), 68.42°, I 241
(4 0 2), 69.95°, I 154



2.
Al3Ag5: computed powder diffraction line list (a wavelength of 1.5418 Å), based on DFT lattice parameters and positions (GGA-PBE).

Structural model:
```
data_Al3Ag5
_chemical_formula_sum 'Al3 Ag5'
_space_group_name_H-M_alt 'P 1'
_space_group_IT_number 1
_cell_length_a 4.893
_cell_length_b 5.028
_cell_length_c 5.896
_cell_angle_alpha 107.07
_cell_angle_beta 90.16
_cell_angle_gamma 101.37
loop_
_space_group_symop_operation_xyz
'x,y,z'
loop_
_atom_site_label
_atom_site_type_symbol
_atom_site_fract_x
_atom_site_fract_y
_atom_site_fract_z
Al1 Al 0.000 0.000 0.000
Al2 Al 0.005 0.011 0.500
Al3 Al 0.267 0.502 0.373
Ag1 Ag 0.257 0.478 0.872
Ag2 Ag 0.490 0.005 0.249
Ag3 Ag 0.507 0.989 0.744
Ag4 Ag 0.773 0.520 0.135
Ag5 Ag 0.776 0.512 0.620
```

Largest 12 diffraction maxima, sorted by position, 2θ = 10–90°:
(1 0 0), 18.53°, I 301
(1 -1 0), 23.62°, I 253
(1 1 0), 29.25°, I 237
(0 1 -2), 31.81°, I 264
(1 1 -2), 38.04°, I 765
(1 0 2), 38.15°, I 748
(0 2 0), 38.28°, I 727
(2 -1 0), 38.51°, I 723
(1 -2 2), 43.68°, I 1000
(2 1 0), 45.97°, I 421
(2 0 -4), 76.26°, I 265
(1 -4 2), 76.73°, I 190



Copy entry 2 word for word.
Al3Ag5: computed powder diffraction line list (a wavelength of 1.5418 Å), based on DFT lattice parameters and positions (GGA-PBE).

Structural model:
```
data_Al3Ag5
_chemical_formula_sum 'Al3 Ag5'
_space_group_name_H-M_alt 'P 1'
_space_group_IT_number 1
_cell_length_a 4.893
_cell_length_b 5.028
_cell_length_c 5.896
_cell_angle_alpha 107.07
_cell_angle_beta 90.16
_cell_angle_gamma 101.37
loop_
_space_group_symop_operation_xyz
'x,y,z'
loop_
_atom_site_label
_atom_site_type_symbol
_atom_site_fract_x
_atom_site_fract_y
_atom_site_fract_z
Al1 Al 0.000 0.000 0.000
Al2 Al 0.005 0.011 0.500
Al3 Al 0.267 0.502 0.373
Ag1 Ag 0.257 0.478 0.872
Ag2 Ag 0.490 0.005 0.249
Ag3 Ag 0.507 0.989 0.744
Ag4 Ag 0.773 0.520 0.135
Ag5 Ag 0.776 0.512 0.620
```

Largest 12 diffraction maxima, sorted by position, 2θ = 10–90°:
(1 0 0), 18.53°, I 301
(1 -1 0), 23.62°, I 253
(1 1 0), 29.25°, I 237
(0 1 -2), 31.81°, I 264
(1 1 -2), 38.04°, I 765
(1 0 2), 38.15°, I 748
(0 2 0), 38.28°, I 727
(2 -1 0), 38.51°, I 723
(1 -2 2), 43.68°, I 1000
(2 1 0), 45.97°, I 421
(2 0 -4), 76.26°, I 265
(1 -4 2), 76.73°, I 190